Record 1
For Be3Ge, a GGA-PBE-relaxed structure gives the calculated powder X-ray diffraction pattern in this record (Cu Kα).
Kinematic intensities with the Lorentz-polarization factor, no thermal factor.

Structural model:
```
Be3Ge
1.0
-1.7407 1.7407 3.5211
1.7407 -1.7407 3.5211
1.7407 1.7407 -3.5211
Be Ge
3 1
Direct
0.0000 0.0000 0.0000
0.2500 0.7500 0.5000
0.7500 0.2500 0.5000
0.5000 0.5000 0.0000
```

Top 8 peaks for 2θ from 10° to 80°, by angle:
2θ = 25.29°, intensity 33.9
2θ = 28.60°, intensity 100.0
2θ = 36.50°, intensity 26.5
2θ = 44.93°, intensity 52.2
2θ = 46.67°, intensity 26.3
2θ = 52.58°, intensity 16.2
2θ = 60.94°, intensity 23.2
2θ = 72.91°, intensity 13.4

***

Record 2
For Be2GeO4, a GGA-PBE-relaxed structure gives the calculated powder X-ray diffraction pattern in this record (Cu Kα).
Kinematic intensities with the Lorentz-polarization factor, no thermal factor.

Structural model:
```
Be2GeO4
1.0
6.4376 3.7168 2.8407
-6.4376 3.7168 2.8407
0.0000 -7.4335 2.8407
Be Ge O
12 6 24
Direct
0.1048 0.8718 0.2782
0.1282 0.7218 0.8952
0.2070 0.6104 0.4294
0.2782 0.1048 0.8718
0.3896 0.5706 0.7930
0.4294 0.2070 0.6104
0.5706 0.7930 0.3896
0.6104 0.4294 0.2070
0.7218 0.8952 0.1282
0.7930 0.3896 0.5706
0.8718 0.2782 0.1048
0.8952 0.1282 0.7218
0.0554 0.2323 0.4627
0.2323 0.4627 0.0554
0.4627 0.0554 0.2323
0.5373 0.9446 0.7677
0.7677 0.5373 0.9446
0.9446 0.7677 0.5373
0.0187 0.7120 0.0434
0.0434 0.0187 0.7120
0.0448 0.3760 0.3309
0.0914 0.7489 0.4111
0.2511 0.5889 0.9086
0.2880 0.9566 0.9813
0.3060 0.3371 0.6363
0.3309 0.0448 0.3760
0.3371 0.6363 0.3060
0.3637 0.6940 0.6629
0.3760 0.3309 0.0448
0.4111 0.0914 0.7489
0.5889 0.9086 0.2511
0.6240 0.6691 0.9552
0.6363 0.3060 0.3371
0.6629 0.3637 0.6940
0.6691 0.9552 0.6240
0.6940 0.6629 0.3637
0.7120 0.0434 0.0187
0.7489 0.4111 0.0914
0.9086 0.2511 0.5889
0.9552 0.6240 0.6691
0.9566 0.9813 0.2880
0.9813 0.2880 0.9566
```

Top 8 peaks for 2θ from 10° to 80°, by angle:
2θ = 22.34°, intensity 31.2
2θ = 23.55°, intensity 100.0
2θ = 27.71°, intensity 43.2
2θ = 29.82°, intensity 22.0
2θ = 34.51°, intensity 43.2
2θ = 36.94°, intensity 39.6
2θ = 45.93°, intensity 19.3
2θ = 72.08°, intensity 25.1

***

Record 3
For BeGeO3, a GGA-PBE-relaxed structure gives the calculated powder X-ray diffraction pattern in this record (Cu Kα).
Kinematic intensities with the Lorentz-polarization factor, no thermal factor.

Structural model:
```
BeGeO3
1.0
3.5049 0.0000 0.0000
0.0000 3.5049 0.0000
0.0000 0.0000 3.5049
Be Ge O
1 1 3
Direct
0.0000 0.0000 0.0000
0.5000 0.5000 0.5000
0.0000 0.0000 0.5000
0.0000 0.5000 0.0000
0.5000 0.0000 0.0000
```

Top 7 peaks for 2θ from 10° to 80°, by angle:
2θ = 25.41°, intensity 66.9
2θ = 36.25°, intensity 86.5
2θ = 44.79°, intensity 100.0
2θ = 52.20°, intensity 54.6
2θ = 58.92°, intensity 30.7
2θ = 65.20°, intensity 33.4
2θ = 76.94°, intensity 30.0

***

Record 4
For Pr2Be2GeO7, a GGA-PBE-relaxed structure gives the calculated powder X-ray diffraction pattern in this record (Cu Kα).
Kinematic intensities with the Lorentz-polarization factor, no thermal factor.

Structural model:
```
Pr2Be2GeO7
1.0
7.6736 0.0000 0.0000
0.0000 7.6736 0.0000
0.0000 0.0000 4.9565
Pr Be Ge O
4 4 2 14
Direct
0.1599 0.3401 0.0040
0.3401 0.8401 0.9960
0.6599 0.1599 0.9960
0.8401 0.6599 0.0040
0.1328 0.6328 0.5395
0.3672 0.1328 0.4605
0.6328 0.8672 0.4605
0.8672 0.3672 0.5395
0.0000 0.0000 0.5000
0.5000 0.5000 0.5000
0.0000 0.5000 0.6703
0.0775 0.8262 0.7026
0.1414 0.6414 0.2195
0.1738 0.0775 0.2974
0.3262 0.5775 0.7026
0.3586 0.1414 0.7805
0.4225 0.3262 0.2974
0.5000 0.0000 0.3297
0.5775 0.6738 0.2974
0.6414 0.8586 0.7805
0.6738 0.4225 0.7026
0.8262 0.9225 0.2974
0.8586 0.3586 0.2195
0.9225 0.1738 0.7026
```

Top 8 peaks for 2θ from 10° to 80°, by angle:
2θ = 17.90°, intensity 28.9
2θ = 24.32°, intensity 46.8
2θ = 25.96°, intensity 46.3
2θ = 29.44°, intensity 50.4
2θ = 31.71°, intensity 100.0
2θ = 37.05°, intensity 28.2
2θ = 45.13°, intensity 42.9
2θ = 52.80°, intensity 28.0

***

Record 5
For Sm2Be2GeO7, a GGA-PBE-relaxed structure gives the calculated powder X-ray diffraction pattern in this record (Cu Kα).
Kinematic intensities with the Lorentz-polarization factor, no thermal factor.

Structural model:
```
Sm2Be2GeO7
1.0
7.5655 0.0000 0.0000
0.0000 7.5655 0.0000
0.0000 0.0000 4.8906
Sm Be Ge O
4 4 2 14
Direct
0.1590 0.3410 0.0044
0.3410 0.8410 0.9956
0.6590 0.1590 0.9956
0.8410 0.6590 0.0044
0.1338 0.6338 0.5430
0.3662 0.1338 0.4570
0.6338 0.8662 0.4570
0.8662 0.3662 0.5430
0.0000 0.0000 0.5000
0.5000 0.5000 0.5000
0.0000 0.5000 0.6774
0.0793 0.8271 0.7092
0.1417 0.6417 0.2183
0.1729 0.0793 0.2908
0.3271 0.5793 0.7092
0.3583 0.1417 0.7817
0.4207 0.3271 0.2908
0.5000 0.0000 0.3226
0.5793 0.6729 0.2908
0.6417 0.8583 0.7817
0.6729 0.4207 0.7092
0.8271 0.9207 0.2908
0.8583 0.3583 0.2183
0.9207 0.1729 0.7092
```

Top 8 peaks for 2θ from 10° to 80°, by angle:
2θ = 18.14°, intensity 32.6
2θ = 24.66°, intensity 45.7
2θ = 26.34°, intensity 48.3
2θ = 29.86°, intensity 47.0
2θ = 32.17°, intensity 100.0
2θ = 37.60°, intensity 27.7
2θ = 45.78°, intensity 42.9
2θ = 53.59°, intensity 27.7

***

Record 6
For BeGeRu2, a GGA-PBE-relaxed structure gives the calculated powder X-ray diffraction pattern in this record (Cu Kα).
Kinematic intensities with the Lorentz-polarization factor, no thermal factor.

Structural model:
```
BeGeRu2
1.0
0.0000 2.9223 2.9223
2.9223 0.0000 2.9223
2.9223 2.9223 0.0000
Be Ge Ru
1 1 2
Direct
0.0000 0.0000 0.0000
0.5000 0.5000 0.5000
0.2500 0.2500 0.2500
0.7500 0.7500 0.7500
```

Top 8 peaks for 2θ from 10° to 80°, by angle:
2θ = 26.41°, intensity 15.1
2θ = 30.59°, intensity 25.7
2θ = 43.81°, intensity 100.0
2θ = 51.89°, intensity 7.1
2θ = 54.38°, intensity 6.6
2θ = 63.69°, intensity 16.0
2θ = 70.19°, intensity 2.8
2θ = 72.30°, intensity 8.2

***

Record 7
For BeH2, a GGA-PBE-relaxed structure gives the calculated powder X-ray diffraction pattern in this record (Cu Kα).
Kinematic intensities with the Lorentz-polarization factor, no thermal factor.

Structural model:
```
BeH2
1.0
-2.0229 4.4315 3.7944
2.0229 -4.4315 3.7944
2.0229 4.4315 -3.7944
Be H
6 12
Direct
0.1678 0.1208 0.2886
0.2500 0.2500 0.0000
0.3322 0.6208 0.9529
0.6678 0.3792 0.0471
0.7500 0.7500 0.0000
0.8322 0.8792 0.7114
0.0643 0.9195 0.6775
0.1843 0.7695 0.9538
0.2420 0.3867 0.3225
0.2580 0.5805 0.1447
0.3157 0.2695 0.5853
0.4357 0.1133 0.8553
0.5643 0.8867 0.1447
0.6843 0.7305 0.4147
0.7420 0.4195 0.8553
0.7580 0.6133 0.6775
0.8157 0.2305 0.0462
0.9357 0.0805 0.3225
```

Top 8 peaks for 2θ from 10° to 80°, by angle:
2θ = 23.45°, intensity 22.2
2θ = 24.18°, intensity 100.0
2θ = 31.03°, intensity 82.2
2θ = 32.20°, intensity 40.3
2θ = 44.88°, intensity 47.2
2θ = 47.64°, intensity 18.1
2θ = 47.95°, intensity 12.1
2θ = 54.41°, intensity 11.9

***

- Number 1 is which compound?
  Be3Ge